Record 1
The following is a calculated powder diffraction line list of MgZrRuO6. It was derived from the GGA-PBE geometry in Alexandria, using Cu Ka.
Kinematic intensities with the Lorentz-polarization factor, no thermal factor.

The 10 most intense peaks (2θ = 15–90°), by angle:
2θ (°)	I (rel.)
19.52	47
19.75	80
27.91	100
34.15	56
39.76	85
44.66	27
53.68	69
57.39	25
61.13	29
64.91	17

Crystal structure
Lattice parameters (Å, degrees): 5.2518 5.2518 8.9891 90.00 90.00 120.00
Fractional positions:
Mg1 0.0000 0.0000 0.0000
Mg2 0.0000 0.0000 0.5000
Zr1 0.3333 0.6667 0.2500
Zr2 0.6667 0.3333 0.7500
Ru1 0.3333 0.6667 0.7500
Ru2 0.6667 0.3333 0.2500
O1 0.0241 0.3573 0.6300
O2 0.0241 0.6669 0.8700
O3 0.3331 0.3573 0.8700
O4 0.3331 0.9759 0.6300
O5 0.3573 0.0241 0.1300
O6 0.3573 0.3331 0.3700
O7 0.6427 0.6669 0.6300
O8 0.6427 0.9759 0.8700
O9 0.6669 0.0241 0.3700
O10 0.6669 0.6427 0.1300
O11 0.9759 0.3331 0.1300
O12 0.9759 0.6427 0.3700

=====

Record 2
The following is a calculated powder diffraction line list of Ho4AlAu3. It was derived from the GGA-PBE geometry in Alexandria, using Cu Ka.
Kinematic intensities with the Lorentz-polarization factor, no thermal factor.

The 10 most intense peaks (2θ = 15–90°), by angle:
2θ (°)	I (rel.)
32.00	100
32.16	28
34.25	23
37.69	33
38.84	35
39.53	64
49.34	18
63.70	28
64.50	16
77.17	17

Crystal structure
Lattice parameters (Å, degrees): 3.6942 4.6372 11.1344 90.00 90.00 90.00
Fractional positions:
Ho1 0.0000 0.0000 0.0000
Ho2 0.0000 0.5000 0.2795
Ho3 0.5000 0.0000 0.4905
Ho4 0.5000 0.5000 0.7874
Al1 0.0000 0.0000 0.7150
Au1 0.0000 0.5000 0.5603
Au2 0.5000 0.0000 0.2254
Au3 0.5000 0.5000 0.0542

=====

Record 3
The following is a calculated powder diffraction line list of Mg8In2Ir. It was derived from the GGA-PBE geometry in Alexandria, using Cu Ka.
Kinematic intensities with the Lorentz-polarization factor, no thermal factor.

The 10 most intense peaks (2θ = 15–90°), by angle:
2θ (°)	I (rel.)
22.50	56
22.60	57
22.73	100
25.56	31
26.52	58
37.10	81
37.23	78
38.07	41
43.39	32
44.70	37

Crystal structure
Lattice parameters (Å, degrees): 8.3019 8.3019 6.9704 114.56 114.56 33.08
Fractional positions:
Mg1 0.0021 0.0021 0.2740
Mg2 0.1749 0.1749 0.6816
Mg3 0.3634 0.3634 0.6209
Mg4 0.3692 0.3692 0.1040
Mg5 0.6308 0.6308 0.8960
Mg6 0.6366 0.6366 0.3791
Mg7 0.8251 0.8251 0.3184
Mg8 0.9979 0.9979 0.7260
In1 0.1822 0.1822 0.1803
In2 0.8178 0.8178 0.8197
Ir1 0.5000 0.5000 0.5000

=====

Record 4
The following is a calculated powder diffraction line list of Na5Nd4Ge4O16F. It was derived from the GGA-PBE geometry in Alexandria, using Cu Ka.
Kinematic intensities with the Lorentz-polarization factor, no thermal factor.

The 10 most intense peaks (2θ = 15–90°), by angle:
2θ (°)	I (rel.)
17.08	46
22.51	75
26.91	43
30.73	100
31.17	70
32.91	40
34.16	83
40.25	38
45.96	49
48.16	50

Crystal structure
Lattice parameters (Å, degrees): 9.0715 9.0715 9.0715 95.74 95.74 143.12
Fractional positions:
Na1 0.0000 0.0000 0.0000
Na2 0.1301 0.4381 0.5177
Na3 0.3876 0.8699 0.3080
Na4 0.5619 0.0796 0.6920
Na5 0.9204 0.6124 0.4823
Nd1 0.3437 0.6403 0.9330
Nd2 0.3597 0.2928 0.7034
Nd3 0.5894 0.6563 0.2966
Nd4 0.7072 0.4106 0.0670
Ge1 0.0917 0.7406 0.8545
Ge2 0.2594 0.1139 0.3511
Ge3 0.7628 0.9083 0.6489
Ge4 0.8861 0.2372 0.1455
O1 0.0613 0.2411 0.7499
O2 0.1468 0.6474 0.7161
O3 0.1595 0.7128 0.0343
O4 0.1775 0.3977 0.1266
O5 0.2711 0.0509 0.8734
O6 0.2872 0.3215 0.4467
O7 0.3526 0.0687 0.4994
O8 0.4912 0.3113 0.2501
O9 0.5693 0.8532 0.5006
O10 0.6023 0.7289 0.7797
O11 0.6785 0.1252 0.9657
O12 0.6887 0.9387 0.1799
O13 0.7589 0.5088 0.8201
O14 0.8748 0.8405 0.5533
O15 0.9313 0.4307 0.2839
O16 0.9491 0.8225 0.2203
F1 0.5000 0.5000 0.0000

=====

Record 5
The following is a calculated powder diffraction line list of Sc13Al2. It was derived from the GGA-PBE geometry in Alexandria, using Cu Ka.
Kinematic intensities with the Lorentz-polarization factor, no thermal factor.

The 10 most intense peaks (2θ = 15–90°), by angle:
2θ (°)	I (rel.)
32.23	29
32.37	25
33.55	100
34.20	65
34.50	56
35.36	75
35.63	32
35.71	69
37.65	28
38.97	45

Crystal structure
Lattice parameters (Å, degrees): 6.0903 7.8680 8.3799 63.28 89.04 79.67
Fractional positions:
Sc1 0.0000 0.0000 0.0000
Sc2 0.0386 0.5009 0.7135
Sc3 0.2427 0.0044 0.5705
Sc4 0.2564 0.2075 0.1535
Sc5 0.2770 0.6510 0.9635
Sc6 0.4368 0.1700 0.8149
Sc7 0.4678 0.4017 0.3778
Sc8 0.5322 0.5983 0.6222
Sc9 0.5632 0.8300 0.1851
Sc10 0.7230 0.3490 0.0365
Sc11 0.7436 0.7925 0.8465
Sc12 0.7573 0.9956 0.4295
Sc13 0.9614 0.4991 0.2865
Al1 0.1550 0.7768 0.3627
Al2 0.8450 0.2232 0.6373

=====

Record 6
The following is a calculated powder diffraction line list of KSbS2. It was derived from the GGA-PBE geometry in Alexandria, using Cu Ka.
Kinematic intensities with the Lorentz-polarization factor, no thermal factor.

The 10 most intense peaks (2θ = 15–90°), by angle:
2θ (°)	I (rel.)
15.73	31
23.67	33
25.74	24
27.88	100
30.07	50
38.76	23
39.84	27
41.48	28
48.43	15
52.89	19

Crystal structure
Lattice parameters (Å, degrees): 6.4510 6.3974 12.8946 90.00 112.81 90.00
Fractional positions:
K1 0.1360 0.2345 0.1207
K2 0.1360 0.7655 0.6207
K3 0.8640 0.2345 0.3793
K4 0.8640 0.7655 0.8793
Sb1 0.4160 0.2995 0.8780
Sb2 0.4160 0.7005 0.3780
Sb3 0.5840 0.2995 0.6220
Sb4 0.5840 0.7005 0.1220
S1 0.2224 0.2754 0.6443
S2 0.2224 0.7246 0.1443
S3 0.3694 0.3197 0.3858
S4 0.3694 0.6803 0.8858
S5 0.6306 0.3197 0.1142
S6 0.6306 0.6803 0.6142
S7 0.7776 0.2754 0.8557
S8 0.7776 0.7246 0.3557